Theoretical XRD peak list
Compound: CsVAgO4
Radiation: Cu Kα X-rays
Structure: a cell relaxed with GGA+U
Lines closer than 0.1° are merged.

Structural model:
```
CsVAgO4
1.0
0.000 4.492 4.492
4.492 0.000 4.492
4.492 4.492 0.000
Cs V Ag O
1 1 1 4
Cartesian
0.000 0.000 0.000
4.492 4.492 4.492
6.738 6.738 6.738
5.495 3.489 3.489
3.489 5.495 3.489
3.489 3.489 5.495
5.495 5.495 5.495
```

Largest 8 diffraction maxima, low angle first, 2θ = 10–80°:
- 17.09°, intensity 49
- 28.09°, intensity 100
- 33.07°, intensity 26
- 43.93°, intensity 16
- 49.72°, intensity 38
- 58.08°, intensity 16
- 65.74°, intensity 16
- 79.90°, intensity 19